1.
Diffraction record for La2U2Te7. The powder diffractogram is theoretical, not measured: it uses a GGA-PBE-relaxed structure and Cu Kα, 1.54184 Å.
Kinematic intensities with the Lorentz-polarization factor, no thermal factor.

```
data_La2U2Te7
_cell_length_a 4.413
_cell_length_b 16.200
_cell_length_c 9.837
_cell_angle_alpha 90.00
_cell_angle_beta 90.00
_cell_angle_gamma 90.00
_space_group_name_H-M_alt 'I m m 2'
_space_group_IT_number 44
_space_group_name_Hall 'I 2 -2'
loop_
_atom_site_label
_atom_site_fract_x
_atom_site_fract_y
_atom_site_fract_z
La1 0.000 0.239 0.000
U1 0.000 0.000 0.765
U2 0.000 0.500 0.817
Te1 0.000 0.000 0.082
Te2 0.000 0.105 0.488
Te3 0.000 0.323 0.705
Te4 0.000 0.367 0.306
```

Principal peaks in the range 2θ = 10–90°, low angle first:
21.13 deg, d 4.204, rel. 23.6, (0 2 2); 27.72 deg, d 3.218, rel. 47.2, (1 1 2); 31.33 deg, d 2.855, rel. 100.0, (1 4 1); 31.90 deg, d 2.805, rel. 53.0, (0 3 3); 35.87 deg, d 2.503, rel. 48.7, (1 2 3); 38.02 deg, d 2.367, rel. 29.7, (0 6 2); 40.90 deg, d 2.207, rel. 42.3, (2 0 0); 55.99 deg, d 1.642, rel. 26.7, (1 4 5); 57.07 deg, d 1.614, rel. 18.4, (2 6 2); 67.94 deg, d 1.380, rel. 17.5, (1 10 3)

2.
Diffraction record for LaTe2W. The powder diffractogram is theoretical, not measured: it uses a GGA-PBE-relaxed structure and Cu Kα, 1.54184 Å.
Kinematic intensities with the Lorentz-polarization factor, no thermal factor.

```
data_LaTe2W
_cell_length_a 4.4967
_cell_length_b 4.4967
_cell_length_c 17.8702
_cell_angle_alpha 90.00
_cell_angle_beta 90.00
_cell_angle_gamma 120.00
_space_group_name_H-M_alt 'R -3 m'
_space_group_IT_number 166
_space_group_name_Hall '-R 3 2"'
loop_
_atom_site_label
_atom_site_fract_x
_atom_site_fract_y
_atom_site_fract_z
La1 0.0000 0.0000 0.0000
Te1 0.0000 0.0000 0.2301
W1 0.0000 0.0000 0.5000
```

Principal peaks in the range 2θ = 10–90°, low angle first:
14.87 deg, d 5.957, rel. 11.5, (0 0 3); 30.45 deg, d 2.936, rel. 100.0, (1 0 4); 40.11 deg, d 2.248, rel. 53.0, (1 1 0); 42.33 deg, d 2.135, rel. 7.8, (1 0 7); 46.89 deg, d 1.938, rel. 21.6, (0 1 8); 51.18 deg, d 1.785, rel. 23.4, (0 2 4); 63.37 deg, d 1.468, rel. 8.8, (2 0 8); 66.93 deg, d 1.398, rel. 20.8, (2 1 4); 72.87 deg, d 1.298, rel. 9.1, (3 0 0); 77.69 deg, d 1.229, rel. 9.8, (1 2 8)

3.
Diffraction record for La5YTe6. The powder diffractogram is theoretical, not measured: it uses a GGA-PBE-relaxed structure and Cu Kα, 1.54184 Å.
Kinematic intensities with the Lorentz-polarization factor, no thermal factor.

```
data_La5YTe6
_cell_length_a 7.863
_cell_length_b 13.664
_cell_length_c 7.872
_cell_angle_alpha 90.00
_cell_angle_beta 109.63
_cell_angle_gamma 90.00
_space_group_name_H-M_alt 'C 1 2/m 1'
_space_group_IT_number 12
_space_group_name_Hall '-C 2y'
loop_
_atom_site_label
_atom_site_fract_x
_atom_site_fract_y
_atom_site_fract_z
La1 0.000 0.000 0.000
La2 0.000 0.166 0.500
La3 0.000 0.328 0.000
Y1 0.000 0.500 0.500
Te1 0.240 0.500 0.251
Te2 0.242 0.338 0.742
```

Principal peaks in the range 2θ = 10–90°, low angle first:
27.76 deg, d 3.214, rel. 100.0, (2 0 -2); 39.62 deg, d 2.275, rel. 38.1, (1 3 -3); 39.71 deg, d 2.270, rel. 37.8, (2 0 2); 49.02 deg, d 1.858, rel. 13.6, (2 6 -2); 49.18 deg, d 1.853, rel. 13.5, (0 0 4); 57.34 deg, d 1.607, rel. 12.6, (4 0 -4); 64.80 deg, d 1.439, rel. 11.6, (3 3 -5); 64.88 deg, d 1.437, rel. 17.2, (5 3 -3); 71.87 deg, d 1.314, rel. 12.6, (4 6 -4); 72.05 deg, d 1.311, rel. 8.4, (2 0 -6)

4.
Diffraction record for LaYTe6. The powder diffractogram is theoretical, not measured: it uses a GGA-PBE-relaxed structure and Cu Kα, 1.54184 Å.
Kinematic intensities with the Lorentz-polarization factor, no thermal factor.

```
data_LaYTe6
_cell_length_a 4.387
_cell_length_b 4.386
_cell_length_c 27.294
_cell_angle_alpha 90.00
_cell_angle_beta 90.00
_cell_angle_gamma 90.00
_space_group_name_H-M_alt 'A m m 2'
_space_group_IT_number 38
_space_group_name_Hall 'A 2 -2'
loop_
_atom_site_label
_atom_site_fract_x
_atom_site_fract_y
_atom_site_fract_z
La1 0.000 0.000 0.000
Y1 0.500 0.000 0.345
Te1 0.000 0.000 0.252
Te2 0.000 0.000 0.596
Te3 0.000 0.000 0.878
Te4 0.500 0.000 0.096
Te5 0.500 0.000 0.463
Te6 0.500 0.000 0.752
```

Principal peaks in the range 2θ = 10–90°, low angle first:
26.12 deg, d 3.412, rel. 35.3, (0 0 8); 28.97 deg, d 3.082, rel. 10.3, (1 1 1); 30.45 deg, d 2.936, rel. 100.0, (1 1 3); 33.23 deg, d 2.696, rel. 42.7, (1 1 5); 37.03 deg, d 2.427, rel. 23.4, (1 1 7); 41.15 deg, d 2.193, rel. 43.2, (2 0 0); 46.89 deg, d 1.938, rel. 15.1, (1 1 11); 49.40 deg, d 1.845, rel. 23.7, (2 0 8); 59.61 deg, d 1.551, rel. 14.3, (2 2 0); 68.41 deg, d 1.371, rel. 19.1, (3 1 3)

5.
Diffraction record for La2YTe. The powder diffractogram is theoretical, not measured: it uses a GGA-PBE-relaxed structure and Cu Kα, 1.54184 Å.
Kinematic intensities with the Lorentz-polarization factor, no thermal factor.

```
data_La2YTe
_cell_length_a 6.755
_cell_length_b 9.558
_cell_length_c 3.849
_cell_angle_alpha 90.00
_cell_angle_beta 90.00
_cell_angle_gamma 90.00
_space_group_name_H-M_alt 'C m m m'
_space_group_IT_number 65
_space_group_name_Hall '-C 2 2'
loop_
_atom_site_label
_atom_site_fract_x
_atom_site_fract_y
_atom_site_fract_z
La1 0.250 0.250 0.000
Y1 0.000 0.000 0.500
Te1 0.000 0.500 0.500
```

Principal peaks in the range 2θ = 10–90°, low angle first:
29.80 deg, d 2.998, rel. 100.0, (0 2 1); 32.46 deg, d 2.758, rel. 79.7, (2 2 0); 35.36 deg, d 2.539, rel. 63.2, (2 0 1); 37.64 deg, d 2.390, rel. 26.6, (0 4 0); 47.23 deg, d 1.925, rel. 13.9, (0 0 2); 52.60 deg, d 1.740, rel. 40.2, (2 4 1); 58.48 deg, d 1.578, rel. 29.1, (2 2 2); 61.91 deg, d 1.499, rel. 12.2, (0 4 2); 63.19 deg, d 1.472, rel. 34.4, (4 2 1); 64.70 deg, d 1.441, rel. 10.7, (2 6 0)

6.
Diffraction record for LaY4Te5. The powder diffractogram is theoretical, not measured: it uses a GGA-PBE-relaxed structure and Cu Kα, 1.54184 Å.
Kinematic intensities with the Lorentz-polarization factor, no thermal factor.

```
data_LaY4Te5
_cell_length_a 4.390
_cell_length_b 6.238
_cell_length_c 22.159
_cell_angle_alpha 90.00
_cell_angle_beta 90.00
_cell_angle_gamma 90.00
_space_group_name_H-M_alt 'I m m m'
_space_group_IT_number 71
_space_group_name_Hall '-I 2 2'
loop_
_atom_site_label
_atom_site_fract_x
_atom_site_fract_y
_atom_site_fract_z
La1 0.000 0.000 0.000
Y1 0.000 0.000 0.204
Y2 0.000 0.000 0.402
Te1 0.000 0.500 0.000
Te2 0.000 0.500 0.198
Te3 0.000 0.500 0.393
```

Principal peaks in the range 2θ = 10–90°, low angle first:
28.62 deg, d 3.119, rel. 100.0, (0 2 0); 40.72 deg, d 2.216, rel. 12.2, (0 0 10); 40.92 deg, d 2.205, rel. 49.9, (1 2 5); 41.13 deg, d 2.195, rel. 12.5, (2 0 0); 50.53 deg, d 1.806, rel. 12.9, (0 2 10); 50.87 deg, d 1.795, rel. 13.3, (2 2 0); 59.26 deg, d 1.559, rel. 12.1, (0 4 0); 67.11 deg, d 1.395, rel. 22.1, (1 4 5); 74.25 deg, d 1.277, rel. 7.6, (1 2 15); 74.80 deg, d 1.269, rel. 8.2, (3 2 5)

7.
Diffraction record for LaY2Te. The powder diffractogram is theoretical, not measured: it uses a GGA-PBE-relaxed structure and Cu Kα, 1.54184 Å.
Kinematic intensities with the Lorentz-polarization factor, no thermal factor.

```
data_LaY2Te
_cell_length_a 3.947
_cell_length_b 3.947
_cell_length_c 8.126
_cell_angle_alpha 90.00
_cell_angle_beta 90.00
_cell_angle_gamma 90.00
_space_group_name_H-M_alt 'P 4 m m'
_space_group_IT_number 99
_space_group_name_Hall 'P 4 -2'
loop_
_atom_site_label
_atom_site_fract_x
_atom_site_fract_y
_atom_site_fract_z
La1 0.000 0.000 0.000
Y1 0.000 0.000 0.444
Y2 0.500 0.500 0.700
Te1 0.500 0.500 0.255
```

Principal peaks in the range 2θ = 10–90°, low angle first:
10.89 deg, d 8.126, rel. 8.6, (0 0 1); 25.08 deg, d 3.551, rel. 7.1, (1 0 1); 31.60 deg, d 2.831, rel. 100.0, (1 0 2); 32.07 deg, d 2.791, rel. 54.2, (1 1 0); 45.98 deg, d 1.974, rel. 19.6, (2 0 0); 55.99 deg, d 1.642, rel. 13.1, (1 1 4); 56.87 deg, d 1.619, rel. 36.7, (2 1 2); 65.99 deg, d 1.416, rel. 7.9, (2 0 4); 76.03 deg, d 1.252, rel. 7.6, (3 0 2); 76.28 deg, d 1.248, rel. 8.5, (3 1 0)

8.
Diffraction record for La2ZnTe. The powder diffractogram is theoretical, not measured: it uses a GGA-PBE-relaxed structure and Cu Kα, 1.54184 Å.
Kinematic intensities with the Lorentz-polarization factor, no thermal factor.

```
data_La2ZnTe
_cell_length_a 7.068
_cell_length_b 8.339
_cell_length_c 3.879
_cell_angle_alpha 90.00
_cell_angle_beta 90.00
_cell_angle_gamma 90.00
_space_group_name_H-M_alt 'C m m m'
_space_group_IT_number 65
_space_group_name_Hall '-C 2 2'
loop_
_atom_site_label
_atom_site_fract_x
_atom_site_fract_y
_atom_site_fract_z
La1 0.250 0.250 0.000
Zn1 0.000 0.000 0.500
Te1 0.000 0.500 0.500
```

Principal peaks in the range 2θ = 10–90°, low angle first:
31.50 deg, d 2.840, rel. 100.0, (0 2 1); 33.23 deg, d 2.696, rel. 86.7, (2 2 0); 34.33 deg, d 2.612, rel. 79.4, (2 0 1); 43.41 deg, d 2.085, rel. 20.6, (0 4 0); 46.84 deg, d 1.940, rel. 16.5, (0 0 2); 51.73 deg, d 1.767, rel. 12.2, (4 0 0); 56.47 deg, d 1.629, rel. 38.0, (2 4 1); 58.64 deg, d 1.574, rel. 33.4, (2 2 2); 61.84 deg, d 1.500, rel. 28.3, (4 2 1); 65.76 deg, d 1.420, rel. 11.7, (0 4 2)

9.
Diffraction record for La5Th2. The powder diffractogram is theoretical, not measured: it uses a GGA-PBE-relaxed structure and Cu Kα, 1.54184 Å.
Kinematic intensities with the Lorentz-polarization factor, no thermal factor.

```
data_La5Th2
_cell_length_a 12.022
_cell_length_b 12.022
_cell_length_c 3.484
_cell_angle_alpha 90.00
_cell_angle_beta 90.00
_cell_angle_gamma 90.00
_space_group_name_H-M_alt 'P 4/m b m'
_space_group_IT_number 127
_space_group_name_Hall '-P 4 2ab'
loop_
_atom_site_label
_atom_site_fract_x
_atom_site_fract_y
_atom_site_fract_z
La1 0.000 0.500 0.000
La2 0.054 0.201 0.000
Th1 0.185 0.685 0.500
```

Principal peaks in the range 2θ = 10–90°, low angle first:
16.49 deg, d 5.376, rel. 16.6, (2 1 0); 29.65 deg, d 3.013, rel. 26.0, (2 0 1); 30.63 deg, d 2.919, rel. 100.0, (4 1 0); 31.58 deg, d 2.834, rel. 29.7, (3 3 0); 33.26 deg, d 2.693, rel. 18.5, (2 2 1); 34.93 deg, d 2.568, rel. 34.4, (3 1 1); 37.33 deg, d 2.409, rel. 16.4, (3 2 1); 55.04 deg, d 1.669, rel. 12.6, (6 2 1); 55.62 deg, d 1.652, rel. 11.6, (5 4 1); 62.07 deg, d 1.495, rel. 17.0, (4 1 2)

10.
Diffraction record for La7Th2. The powder diffractogram is theoretical, not measured: it uses a GGA-PBE-relaxed structure and Cu Kα, 1.54184 Å.
Kinematic intensities with the Lorentz-polarization factor, no thermal factor.

```
data_La7Th2
_cell_length_a 6.3645
_cell_length_b 6.3645
_cell_length_c 9.0714
_cell_angle_alpha 90.00
_cell_angle_beta 90.00
_cell_angle_gamma 120.00
_space_group_name_H-M_alt 'P -3 1 m'
_space_group_IT_number 162
_space_group_name_Hall '-P 3 2'
loop_
_atom_site_label
_atom_site_fract_x
_atom_site_fract_y
_atom_site_fract_z
La1 0.0000 0.0000 0.0000
La2 0.0000 0.3479 0.6798
Th1 0.3333 0.6667 0.0000
```

Principal peaks in the range 2θ = 10–90°, low angle first:
29.54 deg, d 3.024, rel. 33.0, (0 0 3); 29.75 deg, d 3.003, rel. 100.0, (1 1 1); 34.43 deg, d 2.605, rel. 69.9, (2 -1 2); 49.34 deg, d 1.847, rel. 23.2, (1 1 4); 49.62 deg, d 1.837, rel. 23.9, (3 0 0); 58.57 deg, d 1.576, rel. 15.3, (2 -1 5); 58.81 deg, d 1.570, rel. 27.7, (3 0 3); 58.93 deg, d 1.567, rel. 14.2, (4 -2 1); 61.79 deg, d 1.501, rel. 12.7, (2 2 2); 80.57 deg, d 1.192, rel. 11.3, (4 1 1)

11.
Diffraction record for La5Th. The powder diffractogram is theoretical, not measured: it uses a GGA-PBE-relaxed structure and Cu Kα, 1.54184 Å.
Kinematic intensities with the Lorentz-polarization factor, no thermal factor.

```
data_La5Th
_cell_length_a 3.6784
_cell_length_b 3.6784
_cell_length_c 18.2976
_cell_angle_alpha 90.00
_cell_angle_beta 90.00
_cell_angle_gamma 120.00
_space_group_name_H-M_alt 'P -3 m 1'
_space_group_IT_number 164
_space_group_name_Hall '-P 3 2"'
loop_
_atom_site_label
_atom_site_fract_x
_atom_site_fract_y
_atom_site_fract_z
La1 0.0000 0.0000 0.0000
La2 0.3333 0.6667 0.1664
La3 0.3333 0.6667 0.6576
Th1 0.0000 0.0000 0.5000
```

Principal peaks in the range 2θ = 10–90°, low angle first:
29.29 deg, d 3.050, rel. 33.3, (0 0 6); 29.70 deg, d 3.008, rel. 100.0, (0 1 2); 34.30 deg, d 2.614, rel. 69.8, (1 0 4); 49.03 deg, d 1.858, rel. 23.5, (0 1 8); 49.56 deg, d 1.839, rel. 24.3, (1 1 0); 58.14 deg, d 1.587, rel. 15.0, (1 0 10); 58.61 deg, d 1.575, rel. 28.4, (1 1 6); 58.85 deg, d 1.569, rel. 14.5, (2 0 2); 61.66 deg, d 1.504, rel. 13.6, (0 2 4); 80.45 deg, d 1.194, rel. 11.9, (1 2 2)